Diffraction record for Co7CuAs4H4O20. The X-ray powder pattern is theoretical, not measured: it uses a crystal structure in Alexandria, relaxed with PBE+U and Cu Kα.
Peak positions follow from Bragg's law for the DFT cell and can differ from measured ones.

Main lines, in order of rising 2θ (15 to 90 degrees two-theta):
| 2θ (°) | I (rel.) |
| --- | --- |
| 17.79 | 100 |
| 20.64 | 59 |
| 29.69 | 91 |
| 32.68 | 53 |
| 33.16 | 32 |
| 33.41 | 27 |
| 35.96 | 54 |
| 36.07 | 26 |
| 36.33 | 54 |
| 36.55 | 48 |
| 56.77 | 40 |
| 56.96 | 30 |

Cell and atoms:
Unit cell a=8.4733 b=6.1561 c=8.5466 alpha=90.00 beta=90.11 gamma=90.00
Fractional coordinates of all 36 atoms:
1 Co 0.0000 0.0000 0.0000
2 Co 0.1368 0.2470 0.6275
3 Co 0.1368 0.7530 0.6275
4 Co 0.2726 0.0000 0.2566
5 Co 0.5024 0.5000 0.7568
6 Co 0.6391 0.2513 0.1308
7 Co 0.6391 0.7487 0.1308
8 Cu 0.7655 0.5000 0.4949
9 As 0.3863 0.0000 0.8833
10 As 0.3865 0.5000 0.3805
11 As 0.8855 0.5000 0.8713
12 As 0.8912 0.0000 0.3791
13 H 0.3516 0.0000 0.5439
14 H 0.4294 0.5000 0.0435
15 H 0.8559 0.5000 0.2260
16 H 0.9255 0.0000 0.7137
17 O 0.0318 0.0000 0.7581
18 O 0.0352 0.0000 0.2362
19 O 0.0641 0.5000 0.7746
20 O 0.2104 0.5000 0.4816
21 O 0.2377 0.0000 0.0207
22 O 0.2449 0.0000 0.5005
23 O 0.3693 0.2254 0.7641
24 O 0.3693 0.7746 0.7641
25 O 0.4071 0.2750 0.2611
26 O 0.4071 0.7250 0.2611
27 O 0.5320 0.5000 0.5213
28 O 0.5371 0.5000 0.0025
29 O 0.5622 0.0000 0.9865
30 O 0.7137 0.0000 0.2770
31 O 0.7401 0.5000 0.7281
32 O 0.7473 0.5000 0.2649
33 O 0.8644 0.2759 0.9920
34 O 0.8644 0.7241 0.9920
35 O 0.9130 0.2268 0.4964
36 O 0.9130 0.7732 0.4964